No. 1
Computed powder XRD pattern of ZnCoF5 for Cu Kα, 1.54184 Å, from a crystal structure in the Materials Project, relaxed with GGA+U.

Peak list (6 most intense, 2θ from 10° to 90°, sorted by position)
2θ 23.0, I = 88, (2 0 0); 2θ 27.8, I = 100, (1 1 -2); 2θ 28.7, I = 39, (0 2 0); 2θ 47.0, I = 27, (4 0 0); 2θ 50.3, I = 31, (1 3 -2); 2θ 56.0, I = 21, (4 2 0)

Atomic structure:
```
data_ZnCoF5
_chemical_formula_sum 'Zn4 Co4 F20'
_cell_length_a 8.607
_cell_length_b 6.224
_cell_length_c 7.499
_cell_angle_alpha 90.00
_cell_angle_beta 116.10
_cell_angle_gamma 90.00
_symmetry_space_group_name_H-M 'C 1 c 1'
_symmetry_Int_Tables_number 9
_symmetry_space_group_name_Hall 'C -2yc'
loop_
_atom_site_label
_atom_site_type_symbol
_atom_site_fract_x
_atom_site_fract_y
_atom_site_fract_z
Zn1 Zn 0.000 0.029 0.000
Co1 Co 0.001 0.498 0.246
F1 F 0.000 0.374 0.995
F2 F 0.017 0.198 0.703
F3 F 0.239 0.473 0.371
F4 F 0.263 0.027 0.122
F5 F 0.486 0.309 0.793
```

---

No. 2
Computed powder XRD pattern of Li4VCr3O8 for Cu Kα, 1.54184 Å, from a crystal structure in the Materials Project, relaxed with GGA+U.

Peak list (6 most intense, 2θ from 10° to 90°, sorted by position)
2θ 18.3, I = 100, (1 0 0); 2θ 35.5, I = 27, (0 2 -2); 2θ 42.9, I = 28, (2 2 2); 2θ 43.1, I = 56, (1 0 -4); 2θ 62.4, I = 15, (1 4 0); 2θ 62.6, I = 22, (3 0 4)

Atomic structure:
```
data_Li4VCr3O8
_chemical_formula_sum 'Li8 V2 Cr6 O16'
_cell_length_a 5.148
_cell_length_b 5.952
_cell_length_c 10.289
_cell_angle_alpha 89.76
_cell_angle_beta 80.30
_cell_angle_gamma 73.00
_symmetry_space_group_name_H-M 'P -1'
_symmetry_Int_Tables_number 2
_symmetry_space_group_name_Hall '-P 1'
loop_
_atom_site_label
_atom_site_type_symbol
_atom_site_fract_x
_atom_site_fract_y
_atom_site_fract_z
Li1 Li 0.000 0.000 0.000
Li2 Li 0.000 0.000 0.500
Li3 Li 0.000 0.250 0.249
Li4 Li 0.000 0.500 0.000
Li5 Li 0.000 0.500 0.500
Li6 Li 0.002 0.748 0.249
V1 V 0.500 0.123 0.376
Cr1 Cr 0.500 0.126 0.875
Cr2 Cr 0.500 0.374 0.125
Cr3 Cr 0.500 0.378 0.626
O1 O 0.268 0.187 0.562
O2 O 0.272 0.681 0.559
O3 O 0.273 0.928 0.310
O4 O 0.275 0.182 0.061
O5 O 0.275 0.430 0.310
O6 O 0.275 0.433 0.811
O7 O 0.275 0.681 0.060
O8 O 0.275 0.933 0.810
```

---

No. 3
Computed powder XRD pattern of VOF for Cu Kα, 1.54184 Å, from a crystal structure in the Materials Project, relaxed with GGA+U.

Peak list (6 most intense, 2θ from 10° to 90°, sorted by position)
2θ 26.5, I = 97, (1 0 -2); 2θ 26.8, I = 100, (1 0 2); 2θ 34.5, I = 95, (1 2 0); 2θ 52.4, I = 31, (1 2 4); 2θ 52.6, I = 31, (2 2 2); 2θ 66.3, I = 34, (0 2 6)

Atomic structure:
```
data_VOF
_chemical_formula_sum 'V8 O8 F8'
_cell_length_a 4.709
_cell_length_b 6.229
_cell_length_c 9.477
_cell_angle_alpha 90.00
_cell_angle_beta 90.61
_cell_angle_gamma 90.00
_symmetry_space_group_name_H-M 'P 1 21/c 1'
_symmetry_Int_Tables_number 14
_symmetry_space_group_name_Hall '-P 2ybc'
loop_
_atom_site_label
_atom_site_type_symbol
_atom_site_fract_x
_atom_site_fract_y
_atom_site_fract_z
V1 V 0.000 0.000 0.000
V2 V 0.000 0.000 0.500
V3 V 0.470 0.249 0.265
O1 O 0.183 0.245 0.410
O2 O 0.312 0.000 0.157
F1 F 0.210 0.747 0.896
F2 F 0.297 0.000 0.649
```

---

No. 4
Computed powder XRD pattern of NiPdO3 for Cu Kα, 1.54184 Å, from a crystal structure in the Materials Project, relaxed with GGA+U.

Peak list (6 most intense, 2θ from 10° to 90°, sorted by position)
2θ 34.4, I = 100, (1 1 0); 2θ 42.4, I = 12, (1 1 1); 2θ 49.4, I = 34, (2 0 0); 2θ 61.6, I = 36, (2 1 1); 2θ 72.4, I = 19, (2 2 0); 2θ 82.7, I = 16, (3 1 0)

Atomic structure:
```
data_NiPdO3
_chemical_formula_sum 'Ni1 Pd1 O3'
_cell_length_a 3.690
_cell_length_b 3.690
_cell_length_c 3.690
_cell_angle_alpha 90.00
_cell_angle_beta 90.00
_cell_angle_gamma 90.00
_symmetry_space_group_name_H-M 'P m -3 m'
_symmetry_Int_Tables_number 221
_symmetry_space_group_name_Hall '-P 4 2 3'
loop_
_atom_site_label
_atom_site_type_symbol
_atom_site_fract_x
_atom_site_fract_y
_atom_site_fract_z
Ni1 Ni 0.000 0.000 0.000
Pd1 Pd 0.500 0.500 0.500
O1 O 0.000 0.000 0.500
```

---

No. 5
Computed powder XRD pattern of FeNiP2O8 for Cu Kα, 1.54184 Å, from a crystal structure in the Materials Project, relaxed with GGA+U.

Peak list (6 most intense, 2θ from 10° to 90°, sorted by position)
2θ 20.5, I = 96, (1 1 0); 2θ 24.4, I = 100, (2 -1 3); 2θ 33.5, I = 72, (2 -1 6); 2θ 35.9, I = 47, (3 0 0); 2θ 48.0, I = 35, (1 2 8); 2θ 50.0, I = 29, (4 -2 6)

Atomic structure:
```
data_FeNiP2O8
_chemical_formula_sum 'Fe9 Ni9 P18 O72'
_cell_length_a 8.6539
_cell_length_b 8.6539
_cell_length_c 20.3824
_cell_angle_alpha 90.00
_cell_angle_beta 90.00
_cell_angle_gamma 120.00
_symmetry_space_group_name_H-M 'R 3'
_symmetry_Int_Tables_number 146
_symmetry_space_group_name_Hall 'R 3'
loop_
_atom_site_label
_atom_site_type_symbol
_atom_site_fract_x
_atom_site_fract_y
_atom_site_fract_z
Fe1 Fe 0.0000 0.0000 0.0000
Fe2 Fe 0.0000 0.0000 0.1467
Fe3 Fe 0.0000 0.0000 0.5011
Ni1 Ni 0.0000 0.0000 0.3588
Ni2 Ni 0.0000 0.0000 0.6433
Ni3 Ni 0.0000 0.0000 0.8583
P1 P 0.0010 0.2989 0.2516
P2 P 0.0351 0.6673 0.4182
O1 O 0.0062 0.8297 0.4307
O2 O 0.0125 0.1801 0.9308
O3 O 0.0156 0.8079 0.8125
O4 O 0.0230 0.2140 0.3139
O5 O 0.1391 0.6837 0.3558
O6 O 0.1467 0.4616 0.8577
O7 O 0.1633 0.4883 0.2373
O8 O 0.1666 0.6767 0.7397
```